Starting from DFT lattice parameters and positions (PBE), the PXRD pattern of NdSm5Bi3 was calculated for a wavelength of 1.5418 Å.

Peak list (10 most intense, 15 to 90 degrees two-theta, most intense first)
| 2θ/deg | d (Å) | I_rel |
| --- | --- | --- |
| 28.95 | 3.084 | 100 |
| 29.40 | 3.038 | 98 |
| 34.65 | 2.589 | 59 |
| 37.76 | 2.382 | 40 |
| 36.01 | 2.494 | 35 |
| 32.10 | 2.788 | 33 |
| 53.17 | 1.723 | 23 |
| 50.38 | 1.811 | 19 |
| 37.29 | 2.411 | 18 |
| 49.78 | 1.832 | 15 |

Structural model:
Cell: 11.0417 11.0417 11.0417 Å, 138.15 138.15 60.67°
Element x y z (fractional)
Nd 0.2500 0.7500 0.5000
Nd 0.7500 0.2500 0.5000
Sm 0.0000 0.0000 0.0000
Sm 0.0587 0.5587 0.8701
Sm 0.1886 0.0587 0.5000
Sm 0.3114 0.8114 0.8701
Sm 0.4413 0.3114 0.5000
Sm 0.5000 0.5000 0.0000
Sm 0.5587 0.6886 0.5000
Sm 0.6886 0.1886 0.1299
Sm 0.8114 0.9413 0.5000
Sm 0.9413 0.4413 0.1299
Bi 0.1363 0.3637 0.5000
Bi 0.2500 0.2500 0.0000
Bi 0.3637 0.8637 0.2273
Bi 0.6363 0.1363 0.7727
Bi 0.7500 0.7500 0.0000
Bi 0.8637 0.6363 0.5000